Entry 1:
Starting from a cell relaxed with GGA-PBE, the powder X-ray diffraction pattern of BaPaIrO6 was computed for Cu Kα, 1.54184 Å.
Intensities are scaled so that the largest is 100.

Most intense lines, 10° ≤ 2θ ≤ 90°, in order of falling intensity:
2θ = 28.3°, I = 100
2θ = 30.7°, I = 91
2θ = 29.1°, I = 69
2θ = 50.7°, I = 62
2θ = 29.8°, I = 59
2θ = 14.8°, I = 50
2θ = 29.2°, I = 47
2θ = 45.3°, I = 35
2θ = 15.2°, I = 34
2θ = 58.6°, I = 31

Structural model:
Cell: 7.2110 7.2110 7.2110 Å, 120.63 117.40 91.74°
Atoms (fractional coordinates):
Ba1 0.3336 0.0836 0.2500
Ba2 0.6664 0.9164 0.7500
Pa1 0.0000 0.5000 0.5000
Pa2 0.5000 0.5000 0.0000
Ir1 0.0000 0.0000 0.5000
Ir2 0.0000 0.5000 0.0000
O1 0.0520 0.3384 0.1623
O2 0.0520 0.8897 0.7136
O3 0.0850 0.3350 0.7500
O4 0.3239 0.1103 0.6623
O5 0.3239 0.6616 0.2136
O6 0.3602 0.6102 0.7500
O7 0.6398 0.3898 0.2500
O8 0.6761 0.3384 0.7864
O9 0.6761 0.8897 0.3377
O10 0.9150 0.6650 0.2500
O11 0.9480 0.1103 0.2864
O12 0.9480 0.6616 0.8377


Entry 2:
Starting from a cell relaxed with GGA-PBE, the powder X-ray diffraction pattern of BaIrPb2O8 was computed for Cu Kα, 1.54184 Å.
Intensities are scaled so that the largest is 100.

Most intense lines, 10° ≤ 2θ ≤ 90°, in order of falling intensity:
2θ = 26.2°, I = 100
2θ = 24.1°, I = 94
2θ = 26.9°, I = 81
2θ = 29.8°, I = 69
2θ = 33.3°, I = 67
2θ = 32.9°, I = 43
2θ = 50.3°, I = 36
2θ = 18.5°, I = 34
2θ = 44.7°, I = 31
2θ = 37.8°, I = 31

Structural model:
Cell: 4.8113 5.4616 7.3519 Å, 76.51 83.01 83.85°
Atoms (fractional coordinates):
Ba1 0.0000 0.0000 0.0000
Ir1 0.0000 0.0000 0.5000
Pb1 0.4494 0.4296 0.2421
Pb2 0.5506 0.5704 0.7579
O1 0.0975 0.7237 0.7224
O2 0.2138 0.8225 0.3354
O3 0.3102 0.1890 0.5093
O4 0.4533 0.2619 0.9922
O5 0.5467 0.7381 0.0078
O6 0.6898 0.8110 0.4907
O7 0.7862 0.1775 0.6646
O8 0.9025 0.2763 0.2776


Entry 3:
Starting from a cell relaxed with GGA-PBE, the powder X-ray diffraction pattern of Ba3PrIr2O9 was computed for Cu Kα, 1.54184 Å.
Intensities are scaled so that the largest is 100.

Most intense lines, 10° ≤ 2θ ≤ 90°, in order of falling intensity:
2θ = 29.7°, I = 100
2θ = 29.2°, I = 57
2θ = 42.2°, I = 32
2θ = 18.0°, I = 26
2θ = 52.4°, I = 21
2θ = 52.7°, I = 20
2θ = 45.5°, I = 19
2θ = 61.7°, I = 18
2θ = 64.0°, I = 15
2θ = 24.6°, I = 15

Structural model:
Cell: 6.0153 6.0153 15.0952 Å, 90.00 90.00 120.00°
Atoms (fractional coordinates):
Ba1 0.0000 0.0000 0.2500
Ba2 0.0000 0.0000 0.7500
Ba3 0.3333 0.6667 0.1007
Ba4 0.3333 0.6667 0.3993
Ba5 0.6667 0.3333 0.6007
Ba6 0.6667 0.3333 0.8993
Pr1 0.0000 0.0000 0.0000
Pr2 0.0000 0.0000 0.5000
Ir1 0.3333 0.6667 0.6666
Ir2 0.3333 0.6667 0.8334
Ir3 0.6667 0.3333 0.1666
Ir4 0.6667 0.3333 0.3334
O1 0.0180 0.5090 0.7500
O2 0.1786 0.3572 0.5918
O3 0.1786 0.3572 0.9082
O4 0.1786 0.8214 0.5918
O5 0.1786 0.8214 0.9082
O6 0.3572 0.1786 0.0918
O7 0.3572 0.1786 0.4082
O8 0.4910 0.5090 0.7500
O9 0.4910 0.9820 0.7500
O10 0.5090 0.0180 0.2500
O11 0.5090 0.4910 0.2500
O12 0.6428 0.8214 0.5918
O13 0.6428 0.8214 0.9082
O14 0.8214 0.1786 0.0918
O15 0.8214 0.1786 0.4082
O16 0.8214 0.6428 0.0918
O17 0.8214 0.6428 0.4082
O18 0.9820 0.4910 0.2500


Entry 4:
Starting from a cell relaxed with GGA-PBE, the powder X-ray diffraction pattern of Ba3YIrRuO9 was computed for Cu Kα, 1.54184 Å.
Intensities are scaled so that the largest is 100.

Most intense lines, 10° ≤ 2θ ≤ 90°, in order of falling intensity:
2θ = 30.0°, I = 100
2θ = 29.9°, I = 53
2θ = 53.2°, I = 40
2θ = 42.8°, I = 31
2θ = 25.1°, I = 22
2θ = 18.2°, I = 19
2θ = 62.3°, I = 18
2θ = 35.1°, I = 17
2θ = 86.4°, I = 17
2θ = 39.5°, I = 16

Structural model:
Cell: 5.9570 5.9570 14.6960 Å, 90.00 90.00 120.00°
Atoms (fractional coordinates):
Ba1 0.0000 0.0000 0.0000
Ba2 0.0000 0.0000 0.5000
Ba3 0.3333 0.6667 0.1584
Ba4 0.3333 0.6667 0.8441
Ba5 0.6667 0.3333 0.3441
Ba6 0.6667 0.3333 0.6584
Y1 0.0000 0.0000 0.2504
Y2 0.0000 0.0000 0.7504
Ir1 0.3333 0.6667 0.4140
Ir2 0.6667 0.3333 0.9140
Ru1 0.3333 0.6667 0.5860
Ru2 0.6667 0.3333 0.0860
O1 0.0207 0.5103 0.4999
O2 0.1764 0.3529 0.3356
O3 0.1763 0.3526 0.6610
O4 0.1764 0.8236 0.3356
O5 0.1763 0.8237 0.6610
O6 0.3526 0.1763 0.1610
O7 0.3529 0.1764 0.8356
O8 0.4897 0.5103 0.4999
O9 0.4897 0.9793 0.4999
O10 0.5103 0.0207 0.9999
O11 0.5103 0.4897 0.9999
O12 0.6471 0.8236 0.3356
O13 0.6474 0.8237 0.6610
O14 0.8237 0.1763 0.1610
O15 0.8236 0.1764 0.8356
O16 0.8237 0.6474 0.1610
O17 0.8236 0.6471 0.8356
O18 0.9793 0.4897 0.9999